For Na4Pu3SbS8, DFT lattice parameters and positions (GGA-PBE) gives the calculated X-ray diffraction stick pattern in this record (Cu Kα (λ = 1.5418 Å)).
No peak broadening, texture or thermal motion is included.

Structure:
Unit cell a=8.0893 b=8.0893 c=19.8581 alpha=90.00 beta=90.00 gamma=120.00
Space group R-3m (No. 166, hexagonal axes)
Asymmetric unit:
Na1 0.0000 0.0000 0.0000 x3
Na2 0.0000 0.5000 0.0000 x9
Pu1 0.0000 0.5000 0.5000 x9
Sb1 0.0000 0.0000 0.5000 x3
S1 0.0000 0.0000 0.2415 x6
S2 0.0002 0.5001 0.2425 x18

Most intense lines, 2θ from 10° to 90°, by intensity:
13.38°, 6.619 Å, intensity 100, hkl 0 0 3; 31.25°, 2.862 Å, intensity 94, hkl 0 2 4; 44.78°, 2.024 Å, intensity 68, hkl 2 2 0; 25.83°, 3.450 Å, intensity 58, hkl 0 2 1; 26.98°, 3.305 Å, intensity 54, hkl 0 0 6; 53.06°, 1.726 Å, intensity 29, hkl 0 2 10; 46.98°, 1.934 Å, intensity 28, hkl 2 2 3; 40.93°, 2.205 Å, intensity 27, hkl 0 2 7; 34.13°, 2.627 Å, intensity 25, hkl 2 0 5; 55.65°, 1.652 Å, intensity 18, hkl 4 0 4; 82.61°, 1.168 Å, intensity 17, hkl 6 0 0; 74.12°, 1.279 Å, intensity 15, hkl 2 4 4

***

For Na2PuSnS4, DFT lattice parameters and positions (GGA-PBE) gives the calculated X-ray diffraction stick pattern in this record (Cu Kα (λ = 1.5418 Å)).
No peak broadening, texture or thermal motion is included.

Structure:
Unit cell a=6.971 b=4.034 c=7.125 alpha=90.00 beta=109.36 gamma=90.00
Space group P2/m (No. 10)
Asymmetric unit:
Na1 0.000 0.000 0.000 x1
Na2 0.000 0.500 0.500 x1
Pu1 0.500 0.000 0.500 x1
Sn1 0.500 0.500 0.000 x1
S1 0.273 0.000 0.742 x2
S2 0.276 0.500 0.266 x2

Most intense lines, 2θ from 10° to 90°, by intensity:
31.17°, 2.869 Å, intensity 100, hkl 1 1 1; 13.46°, 6.577 Å, intensity 88, hkl 1 0 0; 45.00°, 2.015 Å, intensity 35, hkl 0 2 0; 25.76°, 3.459 Å, intensity 34, hkl 0 1 1; 44.26°, 2.047 Å, intensity 25, hkl 1 1 -3; 27.00°, 3.302 Å, intensity 24, hkl 1 1 -1; 40.99°, 2.202 Å, intensity 21, hkl 3 0 -2; 25.45°, 3.500 Å, intensity 16, hkl 1 0 -2; 34.27°, 2.617 Å, intensity 13, hkl 2 1 -1; 13.17°, 6.722 Å, intensity 13, hkl 0 0 1; 55.67°, 1.651 Å, intensity 12, hkl 2 2 -2; 26.52°, 3.361 Å, intensity 12, hkl 0 0 2

***

For Na4PuU3S8, DFT lattice parameters and positions (GGA-PBE) gives the calculated X-ray diffraction stick pattern in this record (Cu Kα (λ = 1.5418 Å)).
No peak broadening, texture or thermal motion is included.

Structure:
Unit cell a=7.9928 b=7.9928 c=20.1611 alpha=90.00 beta=90.00 gamma=120.00
Space group R-3m (No. 166, hexagonal axes)
Asymmetric unit:
Na1 0.0000 0.0000 0.0000 x3
Na2 0.0000 0.5000 0.0000 x9
Pu1 0.0000 0.0000 0.5000 x3
U1 0.0000 0.5000 0.5000 x9
S1 0.0000 0.0000 0.2431 x6
S2 0.0052 0.5026 0.7567 x18

Most intense lines, 2θ from 10° to 90°, by intensity:
13.17°, 6.720 Å, intensity 100, hkl 0 0 3; 31.35°, 2.853 Å, intensity 91, hkl 0 2 4; 26.12°, 3.411 Å, intensity 56, hkl 0 2 1; 27.24°, 3.273 Å, intensity 43, hkl 2 0 2; 44.47°, 2.037 Å, intensity 34, hkl 2 0 8; 45.39°, 1.998 Å, intensity 32, hkl 2 2 0; 47.47°, 1.915 Å, intensity 26, hkl 2 2 3; 34.14°, 2.626 Å, intensity 26, hkl 2 0 5; 40.76°, 2.214 Å, intensity 22, hkl 0 2 7; 56.20°, 1.637 Å, intensity 17, hkl 4 0 4; 26.53°, 3.360 Å, intensity 16, hkl 0 0 6; 53.34°, 1.717 Å, intensity 15, hkl 2 2 6

***

For NaY4PuS8, DFT lattice parameters and positions (GGA-PBE) gives the calculated X-ray diffraction stick pattern in this record (Cu Kα (λ = 1.5418 Å)).
No peak broadening, texture or thermal motion is included.

Structure:
Unit cell a=8.0987 b=8.0987 c=20.0794 alpha=90.00 beta=90.00 gamma=120.00
Space group R3m (No. 160, hexagonal axes)
Asymmetric unit:
Na1 0.0000 0.0000 0.0000 x3
Y1 0.0000 0.0000 0.7486 x3
Y2 0.0116 0.5058 0.8755 x9
Pu1 0.0000 0.0000 0.3713 x3
S1 0.0000 0.0000 0.1353 x3
S2 0.0000 0.0000 0.6162 x3
S3 0.0189 0.5095 0.1287 x9
S4 0.1817 0.3634 0.9533 x9

Most intense lines, 2θ from 10° to 90°, by intensity:
25.72°, 3.464 Å, intensity 100, hkl 1 1 3; 13.37°, 6.621 Å, intensity 96, hkl 1 0 1; 31.11°, 2.875 Å, intensity 78, hkl 0 2 4; 44.38°, 2.041 Å, intensity 50, hkl 2 0 8; 44.76°, 2.025 Å, intensity 49, hkl 2 2 0; 25.56°, 3.485 Å, intensity 48, hkl 0 1 5; 40.79°, 2.212 Å, intensity 37, hkl 1 2 5; 21.95°, 4.049 Å, intensity 30, hkl 1 1 0; 40.89°, 2.207 Å, intensity 29, hkl 0 3 3; 15.41°, 5.750 Å, intensity 28, hkl 0 1 2; 62.20°, 1.492 Å, intensity 22, hkl 4 1 3; 26.93°, 3.311 Å, intensity 16, hkl 2 0 2

***

For Na3PuSb3, DFT lattice parameters and positions (GGA-PBE) gives the calculated X-ray diffraction stick pattern in this record (Cu Kα (λ = 1.5418 Å)).
No peak broadening, texture or thermal motion is included.

Structure:
Unit cell a=10.0551 b=10.0551 c=7.2876 alpha=90.00 beta=90.00 gamma=120.00
Space group R3m (No. 160, hexagonal axes)
Asymmetric unit:
Na1 0.0588 0.5294 0.0000 x9
Pu1 0.0000 0.0000 0.9228 x3
Sb1 0.1674 0.3349 0.7667 x9

Most intense lines, 2θ from 10° to 90°, by intensity:
15.86°, 5.589 Å, intensity 100, hkl 1 0 1; 32.03°, 2.794 Å, intensity 73, hkl 2 0 2; 35.72°, 2.514 Å, intensity 55, hkl 2 2 0; 29.79°, 3.000 Å, intensity 53, hkl 2 1 1; 39.30°, 2.293 Å, intensity 25, hkl 1 3 1; 41.28°, 2.187 Å, intensity 22, hkl 1 1 3; 48.73°, 1.869 Å, intensity 21, hkl 0 4 2; 61.86°, 1.500 Å, intensity 20, hkl 4 2 2; 48.89°, 1.863 Å, intensity 14, hkl 0 3 3; 62.01°, 1.497 Å, intensity 14, hkl 4 1 3; 54.61°, 1.681 Å, intensity 13, hkl 0 2 4; 47.17°, 1.927 Å, intensity 12, hkl 3 2 1

***

For NaPuSc2Se4, DFT lattice parameters and positions (GGA-PBE) gives the calculated X-ray diffraction stick pattern in this record (Cu Kα (λ = 1.5418 Å)).
No peak broadening, texture or thermal motion is included.

Structure:
Unit cell a=6.905 b=3.968 c=7.064 alpha=90.00 beta=108.83 gamma=90.00
Space group P2/m (No. 10)
Asymmetric unit:
Na1 0.000 0.000 0.000 x1
Pu1 0.500 0.500 0.000 x1
Sc1 0.000 0.500 0.500 x1
Sc2 0.500 0.000 0.500 x1
Se1 0.242 0.000 0.731 x2
Se2 0.257 0.500 0.273 x2

Most intense lines, 2θ from 10° to 90°, by intensity:
31.51°, 2.839 Å, intensity 100, hkl 1 1 1; 45.56°, 1.991 Å, intensity 24, hkl 3 1 -1; 44.76°, 2.025 Å, intensity 24, hkl 1 1 -3; 13.55°, 6.536 Å, intensity 23, hkl 1 0 0; 15.60°, 5.679 Å, intensity 17, hkl 1 0 -1; 26.14°, 3.409 Å, intensity 14, hkl 0 1 1; 56.59°, 1.626 Å, intensity 12, hkl 2 2 -2; 44.59°, 2.032 Å, intensity 12, hkl 2 0 2; 45.73°, 1.984 Å, intensity 12, hkl 0 2 0; 65.78°, 1.420 Å, intensity 11, hkl 4 0 -4; 75.35°, 1.261 Å, intensity 10, hkl 5 1 -3; 74.18°, 1.278 Å, intensity 10, hkl 3 1 -5

***

For NaPu2Sc3Te6, DFT lattice parameters and positions (GGA-PBE) gives the calculated X-ray diffraction stick pattern in this record (Cu Kα (λ = 1.5418 Å)).
No peak broadening, texture or thermal motion is included.

Structure:
Unit cell a=18.882 b=4.261 c=8.713 alpha=90.00 beta=104.56 gamma=90.00
Space group C2/m (No. 12)
Asymmetric unit:
Na1 0.000 0.000 0.000 x2
Pu1 0.166 0.500 0.331 x4
Sc1 0.000 0.000 0.500 x2
Sc2 0.168 0.500 0.828 x4
Te1 0.006 0.500 0.739 x4
Te2 0.163 0.000 0.590 x4
Te3 0.170 0.000 0.068 x4

Most intense lines, 2θ from 10° to 90°, by intensity:
29.32°, 3.046 Å, intensity 100, hkl 6 0 0; 42.28°, 2.138 Å, intensity 25, hkl 5 1 2; 41.62°, 2.170 Å, intensity 25, hkl 7 1 -2; 52.41°, 1.746 Å, intensity 13, hkl 6 2 0; 42.43°, 2.130 Å, intensity 13, hkl 0 2 0; 41.47°, 2.178 Å, intensity 12, hkl 2 0 -4; 24.42°, 3.645 Å, intensity 12, hkl 1 1 1; 60.82°, 1.523 Å, intensity 12, hkl 12 0 0; 69.41°, 1.354 Å, intensity 11, hkl 11 1 2; 68.47°, 1.370 Å, intensity 10, hkl 13 1 -2; 12.36°, 7.159 Å, intensity 8, hkl 2 0 -1; 10.49°, 8.433 Å, intensity 8, hkl 0 0 1

***

For Na2PuSe3, DFT lattice parameters and positions (GGA-PBE) gives the calculated X-ray diffraction stick pattern in this record (Cu Kα (λ = 1.5418 Å)).
No peak broadening, texture or thermal motion is included.

Structure:
Unit cell a=5.780 b=13.837 c=4.271 alpha=90.00 beta=90.00 gamma=90.00
Space group Cmmm (No. 65)
Asymmetric unit:
Na1 0.000 0.150 0.000 x4
Pu1 0.000 0.500 0.500 x2
Se1 0.000 0.000 0.500 x2
Se2 0.000 0.365 0.000 x4

Most intense lines, 2θ from 10° to 90°, by intensity:
12.80°, 6.918 Å, intensity 100, hkl 0 2 0; 16.62°, 5.333 Å, intensity 76, hkl 1 1 0; 24.49°, 3.634 Å, intensity 72, hkl 0 2 1; 33.33°, 2.688 Å, intensity 70, hkl 0 4 1; 46.12°, 1.968 Å, intensity 57, hkl 2 4 1; 30.94°, 2.890 Å, intensity 45, hkl 2 0 0; 39.85°, 2.262 Å, intensity 41, hkl 2 2 1; 32.50°, 2.755 Å, intensity 33, hkl 1 3 1; 33.61°, 2.667 Å, intensity 21, hkl 2 2 0; 80.11°, 1.198 Å, intensity 20, hkl 2 4 3; 53.34°, 1.718 Å, intensity 19, hkl 2 0 2; 42.32°, 2.136 Å, intensity 19, hkl 0 0 2

***

For NaPuSe2, DFT lattice parameters and positions (GGA-PBE) gives the calculated X-ray diffraction stick pattern in this record (Cu Kα (λ = 1.5418 Å)).
No peak broadening, texture or thermal motion is included.

Structure:
Unit cell a=4.198 b=5.832 c=8.657 alpha=90.00 beta=90.00 gamma=90.00
Space group Pmmn (No. 59, origin choice 2)
Asymmetric unit:
Na1 0.250 0.250 0.113 x2
Pu1 0.250 0.250 0.634 x2
Se1 0.250 0.750 0.144 x2
Se2 0.250 0.750 0.603 x2

Most intense lines, 2θ from 10° to 90°, by intensity:
29.64°, 3.014 Å, intensity 100, hkl 1 0 2; 43.15°, 2.096 Å, intensity 91, hkl 2 0 0; 10.22°, 8.657 Å, intensity 74, hkl 0 0 1; 18.34°, 4.837 Å, intensity 55, hkl 0 1 1; 30.66°, 2.916 Å, intensity 47, hkl 0 2 0; 40.98°, 2.202 Å, intensity 25, hkl 1 1 3; 23.55°, 3.777 Å, intensity 21, hkl 1 0 1; 28.15°, 3.171 Å, intensity 20, hkl 1 1 1; 53.81°, 1.704 Å, intensity 20, hkl 2 2 0; 61.57°, 1.506 Å, intensity 19, hkl 2 0 4; 52.66°, 1.738 Å, intensity 18, hkl 0 2 4; 41.73°, 2.164 Å, intensity 18, hkl 0 0 4

***

For NaPu2Se4, DFT lattice parameters and positions (GGA-PBE) gives the calculated X-ray diffraction stick pattern in this record (Cu Kα (λ = 1.5418 Å)).
No peak broadening, texture or thermal motion is included.

Structure:
Unit cell a=4.1636 b=4.1636 c=41.3487 alpha=90.00 beta=90.00 gamma=120.00
Space group R-3m (No. 166, hexagonal axes)
Asymmetric unit:
Na1 0.0000 0.0000 0.0000 x3
Pu1 0.0000 0.0000 0.0882 x6
Se1 0.0000 0.0000 0.2100 x6
Se2 0.0000 0.0000 0.3815 x6

Most intense lines, 2θ from 10° to 90°, by intensity:
12.85°, 6.891 Å, intensity 100, hkl 0 0 6; 29.01°, 3.078 Å, intensity 61, hkl 1 0 7; 32.96°, 2.718 Å, intensity 45, hkl 1 0 10; 43.47°, 2.082 Å, intensity 44, hkl 1 1 0; 24.79°, 3.592 Å, intensity 34, hkl 1 0 1; 44.96°, 2.016 Å, intensity 34, hkl 0 1 17; 34.47°, 2.602 Å, intensity 29, hkl 0 1 11; 45.52°, 1.993 Å, intensity 28, hkl 1 1 6; 26.17°, 3.405 Å, intensity 27, hkl 1 0 4; 71.00°, 1.328 Å, intensity 22, hkl 1 1 24; 37.71°, 2.385 Å, intensity 19, hkl 1 0 13; 53.13°, 1.724 Å, intensity 16, hkl 0 0 24

***

For Na4Y3PuSe8, DFT lattice parameters and positions (GGA-PBE) gives the calculated X-ray diffraction stick pattern in this record (Cu Kα (λ = 1.5418 Å)).
No peak broadening, texture or thermal motion is included.

Structure:
Unit cell a=8.3401 b=8.3401 c=20.9752 alpha=90.00 beta=90.00 gamma=120.00
Space group R-3m (No. 166, hexagonal axes)
Asymmetric unit:
Na1 0.0000 0.0000 0.0000 x3
Na2 0.0000 0.5000 0.0000 x9
Y1 0.0000 0.5000 0.5000 x9
Pu1 0.0000 0.0000 0.5000 x3
Se1 0.0000 0.0000 0.2434 x6
Se2 0.0033 0.5016 0.7566 x18

Most intense lines, 2θ from 10° to 90°, by intensity:
30.04°, 2.974 Å, intensity 100, hkl 0 2 4; 12.66°, 6.992 Å, intensity 39, hkl 0 0 3; 43.40°, 2.085 Å, intensity 36, hkl 2 2 0; 42.61°, 2.122 Å, intensity 36, hkl 2 0 8; 53.69°, 1.707 Å, intensity 19, hkl 4 0 4; 71.41°, 1.321 Å, intensity 16, hkl 2 4 4; 25.02°, 3.559 Å, intensity 15, hkl 0 2 1; 70.27°, 1.340 Å, intensity 15, hkl 2 2 12; 79.10°, 1.211 Å, intensity 12, hkl 4 2 8; 62.45°, 1.487 Å, intensity 11, hkl 0 4 8; 39.06°, 2.306 Å, intensity 11, hkl 0 2 7; 45.40°, 1.998 Å, intensity 11, hkl 2 2 3

***

For NaPuTl6, DFT lattice parameters and positions (GGA-PBE) gives the calculated X-ray diffraction stick pattern in this record (Cu Kα (λ = 1.5418 Å)).
No peak broadening, texture or thermal motion is included.

Structure:
Unit cell a=4.846 b=4.846 c=9.620 alpha=90.00 beta=90.00 gamma=90.00
Space group P4/mmm (No. 123)
Asymmetric unit:
Na1 0.000 0.000 0.000 x1
Pu1 0.000 0.000 0.500 x1
Tl1 0.000 0.500 0.252 x4
Tl2 0.500 0.500 0.000 x1
Tl3 0.500 0.500 0.500 x1

Most intense lines, 2θ from 10° to 90°, by intensity:
32.07°, 2.791 Å, intensity 100, hkl 1 1 2; 37.10°, 2.423 Å, intensity 34, hkl 2 0 0; 63.73°, 1.460 Å, intensity 29, hkl 3 1 2; 53.69°, 1.707 Å, intensity 24, hkl 2 0 4; 37.39°, 2.405 Å, intensity 17, hkl 0 0 4; 64.12°, 1.452 Å, intensity 14, hkl 1 1 6; 88.19°, 1.108 Å, intensity 12, hkl 3 1 6; 67.07°, 1.396 Å, intensity 12, hkl 2 2 4; 53.48°, 1.713 Å, intensity 12, hkl 2 2 0; 87.84°, 1.111 Å, intensity 6, hkl 3 3 2; 20.52°, 4.328 Å, intensity 6, hkl 1 0 1; 79.03°, 1.212 Å, intensity 4, hkl 4 0 0